Diffraction record for BeTl2SbS4. The X-ray powder pattern is simulated, not measured: it uses a DFT-relaxed cell (GGA-PBE, Alexandria) and Cu Kα.

Structural model:
Lattice parameters (Å, degrees): 9.2832 8.2515 6.5210 90.00 127.33 90.00
Sites, in units of the cell vectors:
1 Be 0.0000 0.0000 0.0000
2 Be 0.5000 0.5000 0.0000
3 Tl 0.0000 0.1967 0.5000
4 Tl 0.0000 0.4648 0.0000
5 Tl 0.5000 0.6967 0.5000
6 Tl 0.5000 0.9648 0.0000
7 Sb 0.0000 0.7023 0.5000
8 Sb 0.5000 0.2023 0.5000
9 S 0.1473 0.8809 0.3701
10 S 0.2027 0.1436 0.0325
11 S 0.2973 0.6436 0.9675
12 S 0.3527 0.3809 0.6299
13 S 0.6473 0.3809 0.3701
14 S 0.7027 0.6436 0.0325
15 S 0.7973 0.1436 0.9675
16 S 0.8527 0.8809 0.6299

Top 10 peaks for 5 to 70 degrees two-theta, in order of rising 2θ:
2θ (°)	I (rel.)
16.1	25.1
17.4	32.1
24.1	44.7
27.6	94.3
28.5	20.5
29.1	100.0
34.6	30.1
43.7	27.7
46.6	21.1
47.9	22.0

---

Diffraction record for YErO3. The X-ray powder pattern is simulated, not measured: it uses a DFT-relaxed cell (GGA-PBE, Alexandria) and Cu Kα.

Structural model:
Lattice parameters (Å, degrees): 6.3382 6.3382 6.3382 52.41 52.41 52.41
Sites, in units of the cell vectors:
1 Y 0.1456 0.1456 0.1456
2 Y 0.8544 0.8544 0.8544
3 Er 0.3523 0.3523 0.3523
4 Er 0.6477 0.6477 0.6477
5 O 0.0456 0.4584 0.7445
6 O 0.2555 0.5416 0.9544
7 O 0.4584 0.7445 0.0456
8 O 0.5416 0.9544 0.2555
9 O 0.7445 0.0456 0.4584
10 O 0.9544 0.2555 0.5416

Top 10 peaks for 5 to 70 degrees two-theta, in order of rising 2θ:
2θ (°)	I (rel.)
16.3	13.7
21.3	28.6
28.6	100.0
32.0	93.7
43.4	38.0
46.5	53.4
54.9	36.2
57.0	27.0
59.7	21.6
69.3	12.4

---

Diffraction record for TlNi4. The X-ray powder pattern is simulated, not measured: it uses a DFT-relaxed cell (GGA-PBE, Alexandria) and Cu Kα.

Structural model:
Lattice parameters (Å, degrees): 5.9130 5.9130 3.7293 90.00 90.00 90.00
Sites, in units of the cell vectors:
1 Tl 0.0000 0.0000 0.0000
2 Tl 0.5000 0.5000 0.5000
3 Ni 0.0901 0.3132 0.5000
4 Ni 0.1868 0.5901 0.0000
5 Ni 0.3132 0.9099 0.5000
6 Ni 0.4099 0.1868 0.0000
7 Ni 0.5901 0.8132 0.0000
8 Ni 0.6868 0.0901 0.5000
9 Ni 0.8132 0.4099 0.0000
10 Ni 0.9099 0.6868 0.5000

Top 10 peaks for 5 to 70 degrees two-theta, in order of rising 2θ:
2θ (°)	I (rel.)
21.2	15.7
28.3	24.1
30.2	14.0
41.9	100.0
43.3	3.1
48.7	32.6
48.8	14.7
53.8	3.0
58.5	4.6
61.8	6.2